# 1
# Pr2Sc2CI4Cl
Theoretical powder X-ray diffraction pattern, λ = 1.5418 Å (Cu Kα). Input: DFT lattice parameters and positions (PBE).
Neutral-atom scattering factors, no anomalous dispersion.

Structure:
Cell lengths 20.296, 3.899, 8.249 Å; angles 90.00, 101.72, 90.00 degrees
Space group C2/m (No. 12)
Inequivalent atoms, fractional coordinates:
Pr: 0.000 0.000 0.215 x4
Sc: 0.114 0.500 0.057 x4
C: 0.000 0.500 0.000 x2
I: 0.161 0.000 0.324 x4
I: 0.161 0.000 0.837 x4
Cl: 0.000 0.500 0.500 x2

Principal peaks in the range 10 to 90 degrees two-theta, sorted by position:
| h k l | 2θ (°) | d/Å | I_rel |
| --- | --- | --- | --- |
| 0 0 2 | 22.0 | 4.038 | 50 |
| 1 1 0 | 23.2 | 3.826 | 50 |
| 6 0 0 | 26.9 | 3.312 | 59 |
| 1 1 -2 | 31.6 | 2.834 | 100 |
| 5 1 0 | 32.2 | 2.784 | 29 |
| 5 1 2 | 42.0 | 2.153 | 65 |



# 2
# SmMoC3
Theoretical powder X-ray diffraction pattern, λ = 1.5418 Å (Cu Kα). Input: DFT lattice parameters and positions (PBE).
Neutral-atom scattering factors, no anomalous dispersion.

Structure:
Cell lengths 5.059, 3.761, 6.207 Å; angles 90.00, 102.75, 90.00 degrees
Space group P2_1/m (No. 11)
Inequivalent atoms, fractional coordinates:
Sm: 0.183 0.250 0.200 x2
Mo: 0.325 0.250 0.714 x2
C: 0.100 0.750 0.485 x2
C: 0.352 0.750 0.966 x2
C: 0.371 0.750 0.490 x2

Principal peaks in the range 10 to 90 degrees two-theta, sorted by position:
| h k l | 2θ (°) | d/Å | I_rel |
| --- | --- | --- | --- |
| 0 0 2 | 29.5 | 3.027 | 40 |
| 1 1 0 | 29.9 | 2.991 | 100 |
| 1 1 1 | 35.2 | 2.550 | 26 |
| 0 1 2 | 38.2 | 2.358 | 35 |
| 1 1 -2 | 39.4 | 2.286 | 59 |
| 1 1 2 | 45.4 | 1.998 | 29 |



# 3
# Na2Pm2O5
Theoretical powder X-ray diffraction pattern, λ = 1.5418 Å (Cu Kα). Input: DFT lattice parameters and positions (PBE).
Neutral-atom scattering factors, no anomalous dispersion.

Structure:
Cell lengths 4.331, 4.331, 8.151 Å; angles 90.00, 90.00, 90.00 degrees
Space group P4/mmm (No. 123)
Inequivalent atoms, fractional coordinates:
Na: 0.000 0.000 0.000 x1
Na: 0.000 0.000 0.500 x1
Pm: 0.500 0.500 0.229 x2
O: 0.000 0.500 0.149 x4
O: 0.500 0.500 0.500 x1

Principal peaks in the range 10 to 90 degrees two-theta, sorted by position:
| h k l | 2θ (°) | d/Å | I_rel |
| --- | --- | --- | --- |
| 1 0 0 | 20.5 | 4.331 | 89 |
| 0 0 2 | 21.8 | 4.075 | 32 |
| 1 1 0 | 29.2 | 3.062 | 46 |
| 1 0 2 | 30.1 | 2.968 | 100 |
| 2 0 0 | 41.7 | 2.165 | 37 |
| 2 1 2 | 52.3 | 1.749 | 43 |



# 4
# Ag2Ge2Pb3
Theoretical powder X-ray diffraction pattern, λ = 1.5418 Å (Cu Kα). Input: DFT lattice parameters and positions (PBE).
Neutral-atom scattering factors, no anomalous dispersion.

Structure:
Cell lengths 5.0775, 5.0775, 24.8445 Å; angles 90.00, 90.00, 120.00 degrees
Space group R3m (No. 160, hexagonal axes)
Inequivalent atoms, fractional coordinates:
Ag: 0.0000 0.0000 0.0000 x3
Ag: 0.0000 0.0000 0.4854 x3
Ge: 0.0000 0.0000 0.2322 x3
Ge: 0.0000 0.0000 0.7363 x3
Pb: 0.0000 0.0000 0.3663 x3
Pb: 0.0000 0.0000 0.6127 x3
Pb: 0.0000 0.0000 0.8549 x3

Principal peaks in the range 10 to 90 degrees two-theta, sorted by position:
| h k l | 2θ (°) | d/Å | I_rel |
| --- | --- | --- | --- |
| 0 0 6 | 21.4 | 4.143 | 11 |
| 0 1 5 | 27.1 | 3.293 | 10 |
| 1 1 0 | 35.4 | 2.538 | 100 |
| 2 0 8 | 50.9 | 1.794 | 17 |
| 3 0 0 | 63.5 | 1.465 | 34 |
| 3 1 8 | 85.6 | 1.135 | 14 |



# 5
# Nd3Mg3CdInHg
Theoretical powder X-ray diffraction pattern, λ = 1.5418 Å (Cu Kα). Input: DFT lattice parameters and positions (PBE).
Neutral-atom scattering factors, no anomalous dispersion.

Structure:
Cell lengths 7.6431, 7.6431, 4.7620 Å; angles 90.00, 90.00, 120.00 degrees
Space group P-6 (No. 174)
Inequivalent atoms, fractional coordinates:
Nd: 0.0895 0.3351 0.0000 x3
Mg: 0.4286 0.3370 0.5000 x3
Cd: 0.6667 0.3333 0.0000 x1
In: 0.0000 0.0000 0.5000 x1
Hg: 0.3333 0.6667 0.5000 x1

Principal peaks in the range 10 to 90 degrees two-theta, sorted by position:
| h k l | 2θ (°) | d/Å | I_rel |
| --- | --- | --- | --- |
| 1 1 0 | 23.3 | 3.822 | 32 |
| 1 1 1 | 30.0 | 2.980 | 75 |
| 2 0 1 | 33.0 | 2.718 | 100 |
| 0 0 2 | 37.8 | 2.381 | 28 |
| 1 2 1 | 40.7 | 2.215 | 26 |
| 3 0 0 | 40.9 | 2.206 | 24 |



# 6
# Zr2Be
Theoretical powder X-ray diffraction pattern, λ = 1.5418 Å (Cu Kα). Input: DFT lattice parameters and positions (PBE).
Neutral-atom scattering factors, no anomalous dispersion.

Structure:
Cell lengths 5.2016, 5.2016, 13.9935 Å; angles 90.00, 90.00, 120.00 degrees
Space group P6_222 (No. 180)
Inequivalent atoms, fractional coordinates:
Zr: 0.0000 0.5000 0.0616 x6
Zr: 0.1724 0.3449 0.5000 x6
Be: 0.0000 0.0000 0.0000 x3
Be: 0.0000 0.5000 0.6667 x3

Principal peaks in the range 10 to 90 degrees two-theta, sorted by position:
| h k l | 2θ (°) | d/Å | I_rel |
| --- | --- | --- | --- |
| 1 0 4 | 32.4 | 2.763 | 75 |
| 1 1 1 | 35.1 | 2.557 | 100 |
| 1 1 2 | 36.9 | 2.438 | 46 |
| 1 0 5 | 37.8 | 2.377 | 62 |
| 2 0 3 | 44.7 | 2.028 | 33 |
| 2 1 5 | 64.0 | 1.455 | 24 |